[1]
Starting from a DFT-relaxed cell (PBE, Alexandria), the powder X-ray diffraction pattern of Tb2Sm3Pb4 was computed for λ = 1.5418 Å (Cu Kα).
Peak positions follow from Bragg's law for the DFT cell and can differ from measured ones.

Main lines, in order of rising 2θ (5° ≤ 2θ ≤ 70°):
29.12°, intensity 27, hkl 0 2 2; 31.03°, intensity 100, hkl 1 1 4; 32.50°, intensity 43, hkl 1 0 5; 34.39°, intensity 40, hkl 2 0 0; 36.17°, intensity 29, hkl 1 2 3; 50.20°, intensity 20, hkl 1 3 4

Cell and atoms:
Cell: 5.216 6.625 16.215 Å, 90.00 90.00 90.00°
Space group Immm (No. 71)
Unique sites:
Tb 0.000 0.000 0.163 x4
Sm 0.000 0.000 0.385 x4
Sm 0.000 0.500 0.500 x2
Pb 0.000 0.277 0.000 x4
Pb 0.000 0.500 0.245 x4

***

[2]
Starting from a DFT-relaxed cell (PBE, Alexandria), the powder X-ray diffraction pattern of Mg6Tl2Ga was computed for λ = 1.5418 Å (Cu Kα).
Peak positions follow from Bragg's law for the DFT cell and can differ from measured ones.

Main lines, in order of rising 2θ (5° ≤ 2θ ≤ 70°):
22.78°, intensity 100, hkl 1 1 0; 26.38°, intensity 44, hkl 1 0 1; 32.45°, intensity 51, hkl 1 1 1; 35.13°, intensity 45, hkl 2 0 1; 40.00°, intensity 36, hkl 3 0 0; 46.55°, intensity 37, hkl 0 0 2

Cell and atoms:
Cell: 7.8079 7.8079 3.8995 Å, 90.00 90.00 120.00°
Space group P-62m (No. 189)
Unique sites:
Mg 0.0000 0.2506 0.0000 x3
Mg 0.0000 0.6218 0.5000 x3
Tl 0.3333 0.6667 0.0000 x2
Ga 0.0000 0.0000 0.5000 x1

***

[3]
Starting from a DFT-relaxed cell (PBE, Alexandria), the powder X-ray diffraction pattern of AlTlCu2Se4 was computed for λ = 1.5418 Å (Cu Kα).
Peak positions follow from Bragg's law for the DFT cell and can differ from measured ones.

Main lines, in order of rising 2θ (5° ≤ 2θ ≤ 70°):
17.03°, intensity 23, hkl 1 0 1; 26.63°, intensity 100, hkl 1 1 2; 35.18°, intensity 19, hkl 2 1 1; 43.75°, intensity 24, hkl 2 2 0; 44.39°, intensity 47, hkl 2 0 4; 51.95°, intensity 29, hkl 3 1 2

Cell and atoms:
Cell: 5.853 5.853 11.391 Å, 90.00 90.00 90.00°
Space group I-42m (No. 121)
Unique sites:
Al 0.000 0.000 0.000 x2
Tl 0.000 0.000 0.500 x2
Cu 0.000 0.500 0.250 x4
Se 0.226 0.226 0.863 x8